Record 1
Starting from the PBE geometry in the Materials Project, the powder diffractogram of Pm3Sm was calculated for Cu Kα.

Atomic structure:
Lattice parameters (Å, degrees): 5.168 5.168 5.168 90.00 90.00 90.00
Space group Pm-3m (No. 221)
Inequivalent atoms, fractional coordinates:
Pm  0.000  0.000  0.500 (multiplicity 3)
Sm  0.500  0.500  0.500 (multiplicity 1)

Largest 8 diffraction maxima, in order of rising 2θ, 2θ from 10° to 90°:
- 2θ = 29.95°, I 1000
- 2θ = 34.71°, I 507
- 2θ = 49.91°, I 363
- 2θ = 59.30°, I 433
- 2θ = 62.22°, I 125
- 2θ = 73.26°, I 58
- 2θ = 81.11°, I 177
- 2θ = 83.68°, I 164


Record 2
Starting from the PBE geometry in the Materials Project, the powder diffractogram of PmSmZn2 was calculated for Cu Kα.

Atomic structure:
Lattice parameters (Å, degrees): 7.295 7.295 7.295 90.00 90.00 90.00
Space group Fm-3m (No. 225)
Inequivalent atoms, fractional coordinates:
Pm  0.000  0.000  0.000 (multiplicity 4)
Sm  0.000  0.000  0.500 (multiplicity 4)
Zn  0.250  0.250  0.250 (multiplicity 8)

Largest 8 diffraction maxima, in order of rising 2θ, 2θ from 10° to 90°:
- 2θ = 24.40°, I 150
- 2θ = 34.78°, I 1000
- 2θ = 42.95°, I 46
- 2θ = 50.01°, I 177
- 2θ = 56.41°, I 64
- 2θ = 62.36°, I 359
- 2θ = 73.43°, I 110
- 2θ = 83.88°, I 155


Record 3
Starting from the PBE geometry in the Materials Project, the powder diffractogram of PmSn3 was calculated for Cu Kα.

Atomic structure:
Lattice parameters (Å, degrees): 4.767 4.767 4.767 90.00 90.00 90.00
Space group Pm-3m (No. 221)
Inequivalent atoms, fractional coordinates:
Pm  0.000  0.000  0.000 (multiplicity 1)
Sn  0.000  0.500  0.500 (multiplicity 3)

Largest 8 diffraction maxima, in order of rising 2θ, 2θ from 10° to 90°:
- 2θ = 18.61°, I 8
- 2θ = 32.53°, I 1000
- 2θ = 37.74°, I 505
- 2θ = 54.44°, I 357
- 2θ = 64.87°, I 427
- 2θ = 68.14°, I 124
- 2θ = 80.61°, I 60
- 2θ = 89.64°, I 195


Record 4
Starting from the PBE geometry in the Materials Project, the powder diffractogram of Pm3Sn was calculated for Cu Kα.

Atomic structure:
Lattice parameters (Å, degrees): 4.933 4.933 4.933 90.00 90.00 90.00
Space group Pm-3m (No. 221)
Inequivalent atoms, fractional coordinates:
Pm  0.000  0.000  0.500 (multiplicity 3)
Sn  0.500  0.500  0.500 (multiplicity 1)

Largest 8 diffraction maxima, in order of rising 2θ, 2θ from 10° to 90°:
- 2θ = 31.41°, I 1000
- 2θ = 36.42°, I 505
- 2θ = 52.46°, I 357
- 2θ = 62.43°, I 425
- 2θ = 65.55°, I 122
- 2θ = 77.37°, I 58
- 2θ = 85.87°, I 181
- 2θ = 88.67°, I 170


Record 5
Starting from the PBE geometry in the Materials Project, the powder diffractogram of Pm2TlSn was calculated for Cu Kα.

Atomic structure:
Lattice parameters (Å, degrees): 7.751 7.751 7.751 90.00 90.00 90.00
Space group Fm-3m (No. 225)
Inequivalent atoms, fractional coordinates:
Pm  0.250  0.250  0.250 (multiplicity 8)
Tl  0.000  0.000  0.000 (multiplicity 4)
Sn  0.000  0.000  0.500 (multiplicity 4)

Largest 8 diffraction maxima, in order of rising 2θ, 2θ from 10° to 90°:
- 2θ = 19.84°, I 36
- 2θ = 32.68°, I 1000
- 2θ = 38.52°, I 20
- 2θ = 46.89°, I 185
- 2θ = 58.32°, I 389
- 2θ = 68.48°, I 121
- 2θ = 77.96°, I 169
- 2θ = 87.12°, I 44


Record 6
Starting from the PBE geometry in the Materials Project, the powder diffractogram of Pm2ZnSn was calculated for Cu Kα.

Atomic structure:
Lattice parameters (Å, degrees): 7.526 7.526 7.526 90.00 90.00 90.00
Space group Fm-3m (No. 225)
Inequivalent atoms, fractional coordinates:
Pm  0.250  0.250  0.250 (multiplicity 8)
Zn  0.000  0.000  0.000 (multiplicity 4)
Sn  0.000  0.000  0.500 (multiplicity 4)

Largest 8 diffraction maxima, in order of rising 2θ, 2θ from 10° to 90°:
- 2θ = 20.44°, I 23
- 2θ = 23.64°, I 54
- 2θ = 33.68°, I 1000
- 2θ = 48.38°, I 181
- 2θ = 54.53°, I 22
- 2θ = 60.24°, I 376
- 2θ = 70.82°, I 116
- 2θ = 80.76°, I 163


Record 7
Starting from the PBE geometry in the Materials Project, the powder diffractogram of Sr3Pm was calculated for Cu Kα.

Atomic structure:
Lattice parameters (Å, degrees): 8.1796 8.1796 6.5640 90.00 90.00 120.00
Space group P6_3/mmc (No. 194)
Inequivalent atoms, fractional coordinates:
Sr  0.1716  0.3432  0.2500 (multiplicity 6)
Pm  0.3333  0.6667  0.7500 (multiplicity 2)

Largest 8 diffraction maxima, in order of rising 2θ, 2θ from 10° to 90°:
- 2θ = 25.14°, I 232
- 2θ = 27.17°, I 255
- 2θ = 28.64°, I 1000
- 2θ = 37.35°, I 164
- 2θ = 44.30°, I 199
- 2θ = 48.93°, I 225
- 2θ = 52.74°, I 237
- 2θ = 53.60°, I 169


Record 8
Starting from the PBE geometry in the Materials Project, the powder diffractogram of TbPm3 was calculated for Cu Kα.

Atomic structure:
Lattice parameters (Å, degrees): 7.3024 7.3024 5.9330 90.00 90.00 120.00
Space group P6_3/mmc (No. 194)
Inequivalent atoms, fractional coordinates:
Tb  0.3333  0.6667  0.2500 (multiplicity 2)
Pm  0.1671  0.3342  0.7500 (multiplicity 6)

Largest 8 diffraction maxima, in order of rising 2θ, 2θ from 10° to 90°:
- 2θ = 28.22°, I 232
- 2θ = 30.13°, I 262
- 2θ = 32.08°, I 1000
- 2θ = 41.75°, I 162
- 2θ = 49.96°, I 193
- 2θ = 54.75°, I 220
- 2θ = 59.45°, I 229
- 2θ = 60.61°, I 162


Which formula does entry 4 have? Pm3Sn